# 1
The following is a calculated powder X-ray diffraction pattern of KAg3Sn. It was derived from a crystal structure in Alexandria, relaxed with GGA-PBE, using Cu Ka.

Cell and atoms:
a b c (Å): 7.488 7.488 7.488
angles (deg): 132.00 93.28 105.89
Positions (direct):
K 0.317 0.067 0.250
K 0.683 0.933 0.750
Ag 0.116 0.366 0.750
Ag 0.215 0.000 0.715
Ag 0.215 0.500 0.215
Ag 0.785 0.000 0.285
Ag 0.785 0.500 0.785
Ag 0.884 0.634 0.250
Sn 0.000 0.500 0.500
Sn 0.500 0.500 0.000

Top 10 peaks for 2θ = 10–90°, low angle first:
2theta, I/Imax
13.1, 93.6
17.2, 52.8
17.6, 87.6
26.1, 57.9
34.2, 38.1
34.9, 56.7
35.6, 81.1
37.7, 53.7
39.8, 100.0
43.8, 66.0

# 2
The following is a calculated powder X-ray diffraction pattern of Nb6VGa3. It was derived from a crystal structure in Alexandria, relaxed with GGA-PBE, using Cu Ka.

Cell and atoms:
a b c (Å): 5.026 7.806 10.339
angles (deg): 90.00 118.85 90.00
Positions (direct):
Nb 0.005 0.168 0.441
Nb 0.005 0.332 0.941
Nb 0.383 0.674 0.440
Nb 0.383 0.826 0.940
Nb 0.412 0.074 0.257
Nb 0.412 0.426 0.757
Nb 0.588 0.574 0.243
Nb 0.588 0.926 0.743
Nb 0.617 0.174 0.060
Nb 0.617 0.326 0.560
Nb 0.995 0.668 0.059
Nb 0.995 0.832 0.559
V 0.500 0.000 0.500
V 0.500 0.500 0.000
Ga 0.000 0.000 0.000
Ga 0.000 0.500 0.500
Ga 0.103 0.113 0.745
Ga 0.103 0.387 0.245
Ga 0.897 0.613 0.755
Ga 0.897 0.887 0.255

Top 10 peaks for 2θ = 10–90°, low angle first:
2theta, I/Imax
35.2, 57.4
36.5, 32.8
36.6, 40.1
37.6, 28.2
39.0, 100.0
39.8, 22.5
40.3, 13.8
41.0, 18.5
44.0, 29.2
56.1, 13.9

# 3
The following is a calculated powder X-ray diffraction pattern of Dy6CdRh2. It was derived from a crystal structure in Alexandria, relaxed with GGA-PBE, using Cu Ka.

Cell and atoms:
a b c (Å): 8.479 8.479 8.479
angles (deg): 112.93 111.28 104.33
Positions (direct):
Dy 0.039 0.238 0.801
Dy 0.181 0.286 0.468
Dy 0.181 0.714 0.895
Dy 0.328 0.021 0.693
Dy 0.328 0.635 0.307
Dy 0.437 0.238 0.199
Dy 0.563 0.762 0.801
Dy 0.672 0.365 0.693
Dy 0.672 0.979 0.307
Dy 0.819 0.286 0.105
Dy 0.819 0.714 0.532
Dy 0.961 0.762 0.199
Cd 0.000 0.000 0.000
Cd 0.500 0.500 0.000
Rh 0.132 0.632 0.500
Rh 0.333 0.000 0.333
Rh 0.667 0.000 0.667
Rh 0.868 0.368 0.500

Top 10 peaks for 2θ = 10–90°, low angle first:
2theta, I/Imax
30.1, 26.1
31.8, 100.0
33.5, 59.4
34.3, 79.7
35.1, 58.2
35.4, 31.5
38.4, 30.3
38.8, 26.7
39.4, 26.6
60.0, 36.7

# 4
The following is a calculated powder X-ray diffraction pattern of Cs2ZnCd2Au2. It was derived from a crystal structure in Alexandria, relaxed with GGA-PBE, using Cu Ka.

Cell and atoms:
a b c (Å): 12.169 5.278 9.433
angles (deg): 90.00 125.56 90.00
Positions (direct):
Cs 0.226 0.000 0.294
Cs 0.274 0.500 0.706
Cs 0.726 0.500 0.294
Cs 0.774 0.000 0.706
Zn 0.000 0.000 0.500
Zn 0.500 0.500 0.500
Cd 0.088 0.500 0.920
Cd 0.412 0.000 0.080
Cd 0.588 0.000 0.920
Cd 0.912 0.500 0.080
Au 0.116 0.000 0.828
Au 0.384 0.500 0.172
Au 0.616 0.500 0.828
Au 0.884 0.000 0.172

Top 10 peaks for 2θ = 10–90°, low angle first:
2theta, I/Imax
11.5, 79.4
14.6, 53.3
25.7, 100.0
28.0, 98.7
30.8, 75.8
33.9, 51.9
34.0, 97.4
37.1, 72.7
46.5, 48.2
51.1, 47.9

# 5
The following is a calculated powder X-ray diffraction pattern of BaTeN2. It was derived from a crystal structure in Alexandria, relaxed with GGA-PBE, using Cu Ka.

Cell and atoms:
a b c (Å): 7.880 8.211 8.167
angles (deg): 90.00 90.00 90.00
Positions (direct):
Ba 0.000 0.249 0.250
Ba 0.000 0.751 0.750
Ba 0.500 0.251 0.750
Ba 0.500 0.749 0.250
Te 0.248 0.000 0.000
Te 0.252 0.500 0.500
Te 0.748 0.500 0.000
Te 0.752 0.000 0.500
N 0.241 0.451 0.048
N 0.241 0.549 0.952
N 0.259 0.049 0.548
N 0.259 0.951 0.452
N 0.741 0.049 0.952
N 0.741 0.951 0.048
N 0.759 0.451 0.452
N 0.759 0.549 0.548

Top 10 peaks for 2θ = 10–90°, low angle first:
2theta, I/Imax
19.0, 100.0
30.9, 42.9
31.5, 83.7
36.5, 21.0
36.6, 20.8
37.6, 18.1
48.6, 9.8
55.2, 14.8
55.4, 14.7
56.5, 14.7